# 1
Lu4Ni13C4: calculated powder diffractogram (CuKα), based on a structure optimized by DFT (GGA-PBE).
Peak positions follow from Bragg's law for the DFT cell and can differ from measured ones.

Atomic structure:
Cell: 11.6675 11.9509 3.8207 Å, 90.00 90.00 90.00°
Space group Cmmm (No. 65)
Symmetry-distinct sites (fractional):
Lu (0.0000, 0.1862, 0.0000)
Lu (0.1513, 0.5000, 0.0000)
Ni (0.0000, 0.0000, 0.5000)
Ni (0.1068, 0.3226, 0.5000)
Ni (0.1242, 0.0000, 0.0000)
Ni (0.1833, 0.1079, 0.5000)
Ni (0.2500, 0.2500, 0.0000)
C (0.0000, 0.4430, 0.5000)
C (0.2500, 0.2500, 0.5000)

Peak list (8 most intense, 2θ = 10–80°, by angle)
Position (°2θ)  Rel. int.  (hkl)
33.39  80.4  1 3 1
33.73  43.6  3 1 1
34.21  30.7  4 2 0
38.24  44.6  0 4 1
41.79  100.0  4 2 1
44.49  39.9  3 5 0
47.60  44.6  0 0 2
67.20  25.7  3 5 2



# 2
Lu2PC: calculated powder diffractogram (CuKα), based on a structure optimized by DFT (GGA-PBE).
Peak positions follow from Bragg's law for the DFT cell and can differ from measured ones.

Atomic structure:
Cell: 6.1712 6.1712 39.2368 Å, 90.00 90.00 120.00°
Space group R-3c (No. 167, hexagonal axes)
Symmetry-distinct sites (fractional):
Lu (0.0004, 0.3333, 0.0339)
P (0.0000, 0.3321, 0.2500)
C (0.0000, 0.0000, 0.0000)
C (0.0000, 0.0000, 0.1667)

Peak list (8 most intense, 2θ = 10–80°, by angle)
Position (°2θ)  Rel. int.  (hkl)
27.27  20.9  0 0 12
28.94  28.5  1 1 0
29.75  38.7  1 1 3
35.65  100.0  1 1 9
51.29  37.0  3 0 0
57.68  18.8  1 1 21
59.05  15.6  3 0 12
64.02  18.3  2 2 9



# 3
Y2Lu4P3C3: calculated powder diffractogram (CuKα), based on a structure optimized by DFT (GGA-PBE).
Peak positions follow from Bragg's law for the DFT cell and can differ from measured ones.

Atomic structure:
Cell: 10.7960 6.2336 13.6891 Å, 90.00 105.21 90.00°
Space group C2/c (No. 15)
Symmetry-distinct sites (fractional):
Y (0.0479, 0.0833, 0.3944)
Lu (0.1168, 0.4162, 0.6004)
Lu (0.2169, 0.4168, 0.8997)
P (0.0000, 0.4335, 0.2500)
P (0.1745, 0.0914, 0.7500)
C (0.0849, 0.2545, 0.0000)
C (0.2500, 0.2500, 0.5000)

Peak list (8 most intense, 2θ = 10–80°, by angle)
Position (°2θ)  Rel. int.  (hkl)
27.00  18.8  0 0 4
28.64  27.9  3 1 -1
29.45  35.1  0 2 1
35.28  100.0  3 1 2
39.77  13.9  3 1 -5
50.75  37.1  6 0 -2
57.05  17.2  0 2 7
58.41  14.1  6 0 -6



# 4
LuScPbC: calculated powder diffractogram (CuKα), based on a structure optimized by DFT (GGA-PBE).
Peak positions follow from Bragg's law for the DFT cell and can differ from measured ones.

Atomic structure:
Cell: 3.4781 3.4781 15.4107 Å, 90.00 90.00 120.00°
Space group P6_3mc (No. 186)
Symmetry-distinct sites (fractional):
Lu (0.3333, 0.6667, 0.0000)
Sc (0.3333, 0.6667, 0.3394)
Pb (0.3333, 0.6667, 0.6733)
C (0.0000, 0.0000, 0.4162)

Peak list (8 most intense, 2θ = 10–80°, by angle)
Position (°2θ)  Rel. int.  (hkl)
11.48  22.8  0 0 2
29.66  22.2  1 0 0
30.23  18.5  1 0 1
34.52  100.0  1 0 3
34.93  20.2  0 0 6
52.63  21.1  1 1 0
62.38  17.7  1 0 9
64.74  20.7  1 1 6



# 5
LuScPbC: calculated powder diffractogram (CuKα), based on a structure optimized by DFT (GGA-PBE).
Peak positions follow from Bragg's law for the DFT cell and can differ from measured ones.

Atomic structure:
Cell: 3.4834 3.4834 15.4286 Å, 90.00 90.00 120.00°
Space group P-6m2 (No. 187)
Symmetry-distinct sites (fractional):
Lu (0.0000, 0.0000, 0.1717)
Sc (0.3333, 0.6667, 0.3323)
Pb (0.0000, 0.0000, 0.5000)
Pb (0.3333, 0.6667, 0.0000)
C (0.6667, 0.3333, 0.2551)

Peak list (8 most intense, 2θ = 10–80°, by angle)
Position (°2θ)  Rel. int.  (hkl)
29.61  28.1  1 0 0
34.47  100.0  1 0 3
34.89  19.6  0 0 6
46.40  19.1  1 0 6
52.54  20.5  1 1 0
62.29  17.6  1 0 9
64.37  16.5  2 0 3
64.63  20.1  1 1 6



# 6
Lu4PbC2Se: calculated powder diffractogram (CuKα), based on a structure optimized by DFT (GGA-PBE).
Peak positions follow from Bragg's law for the DFT cell and can differ from measured ones.

Atomic structure:
Cell: 3.6146 3.6146 14.2629 Å, 90.00 90.00 120.00°
Space group P-6m2 (No. 187)
Symmetry-distinct sites (fractional):
Lu (0.0000, 0.0000, 0.1373)
Lu (0.6667, 0.3333, 0.3165)
Pb (0.0000, 0.0000, 0.5000)
C (0.3333, 0.6667, 0.2286)
Se (0.6667, 0.3333, 0.0000)

Peak list (8 most intense, 2θ = 10–80°, by angle)
Position (°2θ)  Rel. int.  (hkl)
28.51  29.7  1 0 0
31.20  14.4  1 0 2
34.30  100.0  1 0 3
50.50  27.0  1 1 0
59.69  14.4  1 0 8
60.64  12.0  1 1 5
62.47  18.0  2 0 3
64.80  13.0  1 1 6